[1]
NdAgHgRh: theoretical powder diffractogram (Cu Kα X-rays), based on a structure optimized by DFT (PBE).
Neutral-atom scattering factors, no anomalous dispersion.

Main lines, in order of rising 2θ (2θ from 10° to 90°):
2θ (°)  d (Å)  intensity
22.1  4.022  2
25.6  3.483  6
36.5  2.463  100
45.1  2.011  2
52.5  1.742  17
59.3  1.558  3
65.7  1.422  35
77.5  1.231  11
83.2  1.161  1
88.8  1.101  16

Cell and atoms:
```
NdAgHgRh
1.0
6.9662 0.0000 0.0000
0.0000 6.9662 0.0000
0.0000 0.0000 6.9662
Nd Ag Hg Rh
4 4 4 4
Direct
0.0000 0.0000 0.0000
0.0000 0.5000 0.5000
0.5000 0.0000 0.5000
0.5000 0.5000 0.0000
0.2500 0.2500 0.7500
0.2500 0.7500 0.2500
0.7500 0.2500 0.2500
0.7500 0.7500 0.7500
0.0000 0.0000 0.5000
0.0000 0.5000 0.0000
0.5000 0.0000 0.0000
0.5000 0.5000 0.5000
0.2500 0.2500 0.2500
0.2500 0.7500 0.7500
0.7500 0.2500 0.7500
0.7500 0.7500 0.2500
```

[2]
Pr6AlZn2: theoretical powder diffractogram (Cu Kα X-rays), based on a structure optimized by DFT (PBE).
Neutral-atom scattering factors, no anomalous dispersion.

Main lines, in order of rising 2θ (2θ from 10° to 90°):
2θ (°)  d (Å)  intensity
24.5  3.629  22
27.4  3.253  15
27.6  3.231  28
30.2  2.958  100
32.6  2.745  57
32.8  2.734  87
35.1  2.559  40
39.2  2.299  19
52.2  1.754  16
55.3  1.660  30

Cell and atoms:
```
Pr6AlZn2
1.0
-5.1043 5.1188 5.1487
5.1043 -5.1188 5.1487
5.1043 5.1188 -5.1487
Pr Al Zn
12 2 4
Direct
0.0445 0.8205 0.2240
0.2471 0.5458 0.2988
0.2471 0.9483 0.7012
0.2659 0.3179 0.5838
0.2659 0.6821 0.9480
0.4036 0.1795 0.2240
0.5964 0.8205 0.7760
0.7341 0.3179 0.0520
0.7341 0.6821 0.4162
0.7529 0.0517 0.2988
0.7529 0.4542 0.7012
0.9555 0.1795 0.7760
0.0000 0.5000 0.5000
0.5000 0.0000 0.5000
0.0000 0.1317 0.1317
0.0000 0.8683 0.8683
0.3756 0.3756 0.0000
0.6244 0.6244 0.0000
```

[3]
LiNi2Se: theoretical powder diffractogram (Cu Kα X-rays), based on a structure optimized by DFT (PBE).
Neutral-atom scattering factors, no anomalous dispersion.

Main lines, in order of rising 2θ (2θ from 10° to 90°):
2θ (°)  d (Å)  intensity
21.7  4.099  50
23.2  3.828  30
27.6  3.231  68
36.4  2.469  100
47.5  1.914  35
48.4  1.882  51
48.5  1.877  50
50.5  1.807  37
52.0  1.758  27
73.1  1.295  18

Cell and atoms:
```
LiNi2Se
1.0
3.5156 0.0000 0.0000
0.0000 3.8280 0.0000
-1.7436 0.0000 4.0985
Li Ni Se
1 2 1
Direct
0.0000 0.0000 0.0000
0.2879 0.0000 0.5708
0.7253 0.5000 0.4462
0.4361 0.5000 0.8709
```

[4]
PrTm6Cd2: theoretical powder diffractogram (Cu Kα X-rays), based on a structure optimized by DFT (PBE).
Neutral-atom scattering factors, no anomalous dispersion.

Main lines, in order of rising 2θ (2θ from 10° to 90°):
2θ (°)  d (Å)  intensity
30.2  2.961  100
32.4  2.761  9
35.3  2.540  23
36.2  2.481  44
49.4  1.846  11
52.1  1.755  15
55.7  1.650  11
56.5  1.630  7
61.4  1.510  26
64.6  1.444  8

Cell and atoms:
```
PrTm6Cd2
1.0
4.9628 0.0000 0.0000
0.0000 4.9628 0.0000
0.0000 0.0000 11.0434
Pr Tm Cd
1 6 2
Direct
0.0000 0.0000 0.0000
0.0000 0.0000 0.5000
0.0000 0.5000 0.2781
0.0000 0.5000 0.7219
0.5000 0.0000 0.2781
0.5000 0.0000 0.7219
0.5000 0.5000 0.5000
0.5000 0.5000 0.1196
0.5000 0.5000 0.8804
```